Theoretical powder diffraction line list of Ti4BeCo for copper Kα, from a DFT-relaxed cell (PBE, Alexandria).
Kinematic intensities with the Lorentz-polarization factor, no thermal factor.

Peak list (6 most intense, 2θ from 5° to 70°, by angle)
2θ = 23.86°, rel. 23; 2θ = 38.34°, rel. 100; 2θ = 43.67°, rel. 21; 2θ = 47.58°, rel. 30; 2θ = 48.84°, rel. 23; 2θ = 68.83°, rel. 15

Crystal structure
Lattice parameters (Å, degrees): 4.8863 4.8863 4.8863 103.61 103.61 121.97
Positions (direct):
Ti  0.0886  0.5886  0.1771
Ti  0.4114  0.9114  0.8229
Ti  0.5886  0.4114  0.5000
Ti  0.9114  0.0886  0.5000
Be  0.0000  0.0000  0.0000
Co  0.5000  0.5000  0.0000